No. 1
# La4NiSn
Computed powder XRD pattern, copper Kα. Input: the GGA-PBE geometry in Alexandria.

Crystal structure
Unit cell a=6.002 b=7.087 c=8.770 alpha=90.00 beta=101.47 gamma=90.00
Element x y z (fractional)
La  0.106  0.250  0.042
La  0.197  0.750  0.390
La  0.372  0.507  0.773
La  0.372  0.993  0.773
La  0.628  0.007  0.227
La  0.628  0.493  0.227
La  0.803  0.250  0.610
La  0.894  0.750  0.958
Ni  0.350  0.750  0.051
Ni  0.650  0.250  0.949
Sn  0.236  0.250  0.424
Sn  0.764  0.750  0.576

Principal peaks in the range 10° ≤ 2θ ≤ 90°, in order of rising 2θ:
2θ (°), intensity
28.0, 50
29.4, 41
30.1, 59
30.2, 68
31.9, 74
32.3, 33
32.7, 100
61.9, 26


No. 2
# LaNi4Sn2
Computed powder XRD pattern, copper Kα. Input: the GGA-PBE geometry in Alexandria.

Crystal structure
Unit cell a=6.784 b=6.784 c=6.784 alpha=110.02 beta=110.02 gamma=108.37
Element x y z (fractional)
La  0.250  0.250  0.000
La  0.750  0.750  0.000
Ni  0.026  0.526  0.226
Ni  0.200  0.974  0.500
Ni  0.300  0.800  0.774
Ni  0.474  0.700  0.500
Ni  0.526  0.300  0.500
Ni  0.700  0.200  0.226
Ni  0.800  0.026  0.500
Ni  0.974  0.474  0.774
Sn  0.160  0.340  0.500
Sn  0.340  0.840  0.180
Sn  0.660  0.160  0.820
Sn  0.840  0.660  0.500

Principal peaks in the range 10° ≤ 2θ ≤ 90°, in order of rising 2θ:
2θ (°), intensity
27.7, 27
28.0, 15
32.2, 38
36.5, 91
42.9, 100
49.7, 17
55.2, 14
74.9, 25